Entry 1:
This entry pairs a crystal structure of K2NaScF6 with its theoretical powder XRD pattern. Radiation: copper Kα. Structure: a cell relaxed with GGA-PBE.
Neutral-atom scattering factors, no anomalous dispersion.

Structural model:
Lattice parameters (Å, degrees): 6.0769 6.0769 6.0769 60.00 60.00 60.00
Fractional coordinates of all 10 atoms:
K1 0.2500 0.2500 0.2500
K2 0.7500 0.7500 0.7500
Na1 0.0000 0.0000 0.0000
Sc1 0.5000 0.5000 0.5000
F1 0.2638 0.2638 0.7362
F2 0.2638 0.7362 0.2638
F3 0.2638 0.7362 0.7362
F4 0.7362 0.2638 0.2638
F5 0.7362 0.2638 0.7362
F6 0.7362 0.7362 0.2638

Peak list (10 most intense, 2θ = 15–90°, by intensity)
Position (°2θ), I (rel.)
29.4, 100
42.1, 97
61.0, 52
36.2, 49
52.1, 35
17.9, 19
84.3, 17
69.1, 16
76.8, 15
73.0, 10

=====

Entry 2:
This entry pairs a crystal structure of KNaScF6 with its theoretical powder XRD pattern. Radiation: copper Kα. Structure: a cell relaxed with GGA-PBE.
Neutral-atom scattering factors, no anomalous dispersion.

Structural model:
Lattice parameters (Å, degrees): 5.1761 5.9725 5.9820 60.05 89.96 89.93
Fractional coordinates of all 9 atoms:
K1 0.0000 0.0000 0.0000
Na1 0.5000 0.3335 0.3329
Sc1 0.4974 0.6665 0.6670
F1 0.2834 0.3936 0.9630
F2 0.2850 0.6457 0.3920
F3 0.2861 0.9638 0.6458
F4 0.7076 0.3873 0.6501
F5 0.7095 0.9609 0.3895
F6 0.7108 0.6475 0.9616

Peak list (10 most intense, 2θ = 15–90°, by intensity)
Position (°2θ), I (rel.)
24.3, 100
34.7, 52
46.4, 44
17.1, 41
53.1, 27
49.8, 23
38.9, 20
46.5, 14
29.9, 13
73.1, 13

=====

Entry 3:
This entry pairs a crystal structure of KNaSiF6 with its theoretical powder XRD pattern. Radiation: copper Kα. Structure: a cell relaxed with GGA-PBE.
Neutral-atom scattering factors, no anomalous dispersion.

Structural model:
Lattice parameters (Å, degrees): 9.5381 5.5446 9.8286 90.00 90.00 90.00
Fractional coordinates of all 36 atoms:
K1 0.0145 0.2500 0.1738
K2 0.4855 0.7500 0.6738
K3 0.5145 0.2500 0.3262
K4 0.9855 0.7500 0.8262
Na1 0.1246 0.7500 0.4485
Na2 0.3754 0.2500 0.9485
Na3 0.6246 0.7500 0.0515
Na4 0.8754 0.2500 0.5515
Si1 0.2268 0.2500 0.5779
Si2 0.2732 0.7500 0.0779
Si3 0.7268 0.2500 0.9221
Si4 0.7732 0.7500 0.4221
F1 0.1190 0.2500 0.4352
F2 0.1214 0.0305 0.6459
F3 0.1214 0.4695 0.6459
F4 0.1672 0.7500 0.2177
F5 0.1732 0.5292 0.0027
F6 0.1732 0.9708 0.0027
F7 0.3268 0.0292 0.5027
F8 0.3268 0.4708 0.5027
F9 0.3328 0.2500 0.7177
F10 0.3786 0.5305 0.1459
F11 0.3786 0.9695 0.1459
F12 0.3810 0.7500 0.9352
F13 0.6190 0.2500 0.0648
F14 0.6214 0.0305 0.8541
F15 0.6214 0.4695 0.8541
F16 0.6672 0.7500 0.2823
F17 0.6732 0.5292 0.4973
F18 0.6732 0.9708 0.4973
F19 0.8268 0.0292 0.9973
F20 0.8268 0.4708 0.9973
F21 0.8328 0.2500 0.7823
F22 0.8786 0.5305 0.3541
F23 0.8786 0.9695 0.3541
F24 0.8810 0.7500 0.5648

Peak list (10 most intense, 2θ = 15–90°, by intensity)
Position (°2θ), I (rel.)
26.3, 100
26.0, 81
43.8, 65
20.6, 62
20.3, 49
38.7, 38
44.3, 34
18.1, 26
39.5, 25
47.3, 18

=====

Entry 4:
This entry pairs a crystal structure of KNaSm2F8 with its theoretical powder XRD pattern. Radiation: copper Kα. Structure: a cell relaxed with GGA-PBE.
Neutral-atom scattering factors, no anomalous dispersion.

Structural model:
Lattice parameters (Å, degrees): 5.9322 3.9608 7.8994 90.00 90.05 90.00
Fractional coordinates of all 12 atoms:
K1 0.0000 0.0000 0.0000
Na1 0.0000 0.0000 0.5000
Sm1 0.5004 0.5000 0.2544
Sm2 0.4996 0.5000 0.7456
F1 0.2731 0.5000 0.4997
F2 0.2797 0.0000 0.7391
F3 0.2811 0.0000 0.2605
F4 0.2874 0.5000 0.9999
F5 0.7126 0.5000 0.0001
F6 0.7189 0.0000 0.7395
F7 0.7203 0.0000 0.2609
F8 0.7269 0.5000 0.5003

Peak list (10 most intense, 2θ = 15–90°, by intensity)
Position (°2θ), I (rel.)
27.1, 100
44.5, 49
22.5, 32
51.7, 24
54.1, 21
37.9, 17
35.5, 15
45.8, 13
46.0, 11
32.0, 10

=====

Entry 5:
This entry pairs a crystal structure of KNaTb2F8 with its theoretical powder XRD pattern. Radiation: copper Kα. Structure: a cell relaxed with GGA-PBE.
Neutral-atom scattering factors, no anomalous dispersion.

Structural model:
Lattice parameters (Å, degrees): 5.9241 3.8853 7.7486 90.00 90.05 90.00
Fractional coordinates of all 12 atoms:
K1 0.0000 0.0000 0.0000
Na1 0.0000 0.0000 0.5000
Tb1 0.5004 0.5000 0.2543
Tb2 0.4996 0.5000 0.7457
F1 0.2772 0.5000 0.4997
F2 0.2839 0.0000 0.7398
F3 0.2852 0.0000 0.2598
F4 0.2911 0.5000 0.9999
F5 0.7089 0.5000 0.0001
F6 0.7148 0.0000 0.7402
F7 0.7161 0.0000 0.2602
F8 0.7228 0.5000 0.5003

Peak list (10 most intense, 2θ = 15–90°, by intensity)
Position (°2θ), I (rel.)
27.5, 100
45.0, 47
22.9, 33
55.1, 21
38.2, 18
52.0, 17
36.1, 16
72.5, 13
46.8, 11
46.9, 11

=====

Entry 6:
This entry pairs a crystal structure of KNaTcF6 with its theoretical powder XRD pattern. Radiation: copper Kα. Structure: a cell relaxed with GGA-PBE.
Neutral-atom scattering factors, no anomalous dispersion.

Structural model:
Lattice parameters (Å, degrees): 6.1605 6.1605 8.8131 90.00 90.00 120.00
Fractional coordinates of all 18 atoms:
K1 0.3333 0.6667 0.2500
K2 0.6667 0.3333 0.7500
Na1 0.0000 0.0000 0.0000
Na2 0.0000 0.0000 0.5000
Tc1 0.3333 0.6667 0.7500
Tc2 0.6667 0.3333 0.2500
F1 0.0794 0.3922 0.6238
F2 0.0794 0.6871 0.8762
F3 0.3129 0.3922 0.8762
F4 0.3129 0.9206 0.6238
F5 0.3922 0.0794 0.1238
F6 0.3922 0.3129 0.3762
F7 0.6078 0.6871 0.6238
F8 0.6078 0.9206 0.8762
F9 0.6871 0.0794 0.3762
F10 0.6871 0.6078 0.1238
F11 0.9206 0.3129 0.1238
F12 0.9206 0.6078 0.3762

Peak list (10 most intense, 2θ = 15–90°, by intensity)
Position (°2θ), I (rel.)
19.4, 100
35.6, 82
26.2, 81
51.0, 57
29.0, 49
16.6, 46
20.2, 38
51.4, 31
49.7, 28
39.5, 26

=====

Entry 7:
This entry pairs a crystal structure of KNa2TcF8 with its theoretical powder XRD pattern. Radiation: copper Kα. Structure: a cell relaxed with GGA-PBE.
Neutral-atom scattering factors, no anomalous dispersion.

Structural model:
Lattice parameters (Å, degrees): 4.8731 7.6592 5.1475 90.00 91.52 90.00
Fractional coordinates of all 12 atoms:
K1 0.0000 0.0000 0.0000
Na1 0.5000 0.2447 0.5000
Na2 0.5000 0.7553 0.5000
Tc1 0.0000 0.5000 0.0000
F1 0.1467 0.3186 0.7822
F2 0.1467 0.6814 0.7822
F3 0.3192 0.5000 0.2317
F4 0.4685 0.0000 0.2572
F5 0.5315 0.0000 0.7428
F6 0.6808 0.5000 0.7683
F7 0.8533 0.3186 0.2178
F8 0.8533 0.6814 0.2178

Peak list (10 most intense, 2θ = 15–90°, by intensity)
Position (°2θ), I (rel.)
25.5, 100
29.1, 98
24.8, 73
17.2, 68
21.6, 68
46.0, 67
34.3, 54
46.8, 45
23.2, 39
20.8, 37

=====

Entry 8:
This entry pairs a crystal structure of KNaTiF6 with its theoretical powder XRD pattern. Radiation: copper Kα. Structure: a cell relaxed with GGA-PBE.
Neutral-atom scattering factors, no anomalous dispersion.

Structural model:
Lattice parameters (Å, degrees): 5.7367 5.7367 5.3867 90.00 90.00 120.00
Fractional coordinates of all 9 atoms:
K1 0.0000 0.0000 0.0000
Na1 0.6667 0.3333 0.5000
Ti1 0.3333 0.6667 0.5000
F1 0.0539 0.4019 0.3003
F2 0.0539 0.6521 0.6997
F3 0.3479 0.4019 0.6997
F4 0.3479 0.9461 0.3003
F5 0.5981 0.6521 0.3003
F6 0.5981 0.9461 0.6997

Peak list (10 most intense, 2θ = 15–90°, by intensity)
Position (°2θ), I (rel.)
24.4, 100
46.2, 52
35.5, 35
17.9, 30
16.5, 27
51.5, 26
55.5, 18
40.0, 15
31.2, 14
70.5, 9

=====

Entry 9:
This entry pairs a crystal structure of KNa2TmF6 with its theoretical powder XRD pattern. Radiation: copper Kα. Structure: a cell relaxed with GGA-PBE.
Neutral-atom scattering factors, no anomalous dispersion.

Structural model:
Lattice parameters (Å, degrees): 6.3569 6.3569 6.3569 56.10 56.10 56.10
Fractional coordinates of all 10 atoms:
K1 0.0000 0.0000 0.0000
Na1 0.2789 0.2789 0.2789
Na2 0.7887 0.7887 0.7887
Tm1 0.4851 0.4851 0.4851
F1 0.1059 0.6422 0.4378
F2 0.2224 0.5594 0.8598
F3 0.4378 0.1059 0.6422
F4 0.5594 0.8598 0.2224
F5 0.6422 0.4378 0.1059
F6 0.8598 0.2224 0.5594

Peak list (10 most intense, 2θ = 15–90°, by intensity)
Position (°2θ), I (rel.)
20.4, 100
18.0, 86
28.2, 71
45.6, 53
29.9, 52
34.4, 40
16.6, 36
52.0, 31
41.5, 29
53.1, 26

=====

Entry 10:
This entry pairs a crystal structure of K3NbF8 with its theoretical powder XRD pattern. Radiation: copper Kα. Structure: a cell relaxed with GGA-PBE.
Neutral-atom scattering factors, no anomalous dispersion.

Structural model:
Lattice parameters (Å, degrees): 5.8437 5.8437 5.8437 90.00 90.00 90.00
Fractional coordinates of all 12 atoms:
K1 0.0000 0.0000 0.5000
K2 0.0000 0.5000 0.0000
K3 0.5000 0.0000 0.0000
Nb1 0.5000 0.5000 0.5000
F1 0.2949 0.2949 0.2949
F2 0.2949 0.2949 0.7051
F3 0.2949 0.7051 0.2949
F4 0.2949 0.7051 0.7051
F5 0.7051 0.2949 0.2949
F6 0.7051 0.2949 0.7051
F7 0.7051 0.7051 0.2949
F8 0.7051 0.7051 0.7051

Peak list (10 most intense, 2θ = 15–90°, by intensity)
Position (°2θ), I (rel.)
26.4, 100
43.8, 76
15.2, 57
51.9, 36
21.5, 22
70.2, 18
56.8, 14
80.5, 14
86.5, 11
46.6, 10

=====

Entry 11:
This entry pairs a crystal structure of K2Nb3F10 with its theoretical powder XRD pattern. Radiation: copper Kα. Structure: a cell relaxed with GGA-PBE.
Neutral-atom scattering factors, no anomalous dispersion.

Structural model:
Lattice parameters (Å, degrees): 6.8086 8.7382 9.3394 110.25 108.04 90.48
Fractional coordinates of all 30 atoms:
K1 0.0000 0.0000 0.0000
K2 0.0201 0.6278 0.1706
K3 0.6221 0.8988 0.3389
K4 0.7485 0.5843 0.5386
Nb1 0.1240 0.2744 0.7365
Nb2 0.1408 0.2881 0.4688
Nb3 0.2988 0.8154 0.6242
Nb4 0.4511 0.3096 0.0234
Nb5 0.4607 0.8002 0.9019
Nb6 0.5242 0.3005 0.7375
F1 0.1359 0.7530 0.7640
F2 0.1656 0.0337 0.7353
F3 0.1696 0.0684 0.3232
F4 0.2119 0.5366 0.5157
F5 0.2228 0.4714 0.9639
F6 0.2379 0.2765 0.1212
F7 0.3137 0.8197 0.0649
F8 0.4188 0.7293 0.4411
F9 0.4595 0.3110 0.5081
F10 0.4968 0.0436 0.6376
F11 0.5044 0.0696 0.0140
F12 0.5493 0.5644 0.8296
F13 0.6102 0.5291 0.1719
F14 0.6395 0.8326 0.7624
F15 0.7258 0.2897 0.9547
F16 0.7559 0.8384 0.0718
F17 0.8463 0.3866 0.7332
F18 0.8605 0.3303 0.3518
F19 0.9306 0.1232 0.5002
F20 0.9934 0.7732 0.4662

Peak list (10 most intense, 2θ = 15–90°, by intensity)
Position (°2θ), I (rel.)
21.9, 100
24.4, 92
30.2, 58
20.5, 44
34.2, 34
44.6, 32
41.0, 25
49.3, 23
28.6, 23
29.4, 22

=====

Entry 12:
This entry pairs a crystal structure of K3Nb8O10F4 with its theoretical powder XRD pattern. Radiation: copper Kα. Structure: a cell relaxed with GGA-PBE.
Neutral-atom scattering factors, no anomalous dispersion.

Structural model:
Lattice parameters (Å, degrees): 4.1878 4.1878 22.1945 90.00 90.00 90.00
Fractional coordinates of all 25 atoms:
K1 0.0000 0.0000 0.0000
K2 0.0000 0.0000 0.3867
K3 0.5000 0.5000 0.5141
Nb1 0.0000 0.0000 0.6070
Nb2 0.0000 0.0000 0.7966
Nb3 0.0000 0.5000 0.2019
Nb4 0.0000 0.5000 0.6987
Nb5 0.5000 0.0000 0.2019
Nb6 0.5000 0.0000 0.6987
Nb7 0.5000 0.5000 0.1087
Nb8 0.5000 0.5000 0.2937
O1 0.0000 0.0000 0.2024
O2 0.0000 0.5000 0.1066
O3 0.0000 0.5000 0.2981
O4 0.0000 0.5000 0.6019
O5 0.0000 0.5000 0.7927
O6 0.5000 0.0000 0.1066
O7 0.5000 0.0000 0.2981
O8 0.5000 0.0000 0.6019
O9 0.5000 0.0000 0.7927
O10 0.5000 0.5000 0.6983
F1 0.0000 0.0000 0.5066
F2 0.0000 0.0000 0.8871
F3 0.5000 0.5000 0.0136
F4 0.5000 0.5000 0.3941

Peak list (10 most intense, 2θ = 15–90°, by intensity)
Position (°2θ), I (rel.)
43.2, 100
29.3, 96
34.3, 79
21.6, 76
31.3, 64
60.8, 57
40.7, 52
39.0, 49
44.8, 43
53.1, 34